The following is a theoretical powder XRD pattern of UCuRhS4. It was derived from the PBE geometry in Alexandria, using Cu Kα, 1.54184 Å.

Peak list (10 most intense, 10° ≤ 2θ ≤ 90°, in order of falling intensity)
2θ 15.34, 5.774 Å, rel. 100, (1 0 1); 2θ 27.71, 3.219 Å, rel. 90, (1 2 1); 2θ 33.16, 2.702 Å, rel. 72, (2 2 0); 2θ 32.14, 2.785 Å, rel. 61, (1 0 3); 2θ 52.98, 1.728 Å, rel. 50, (2 2 4); 2θ 30.44, 2.937 Å, rel. 40, (0 2 2); 2θ 40.12, 2.247 Å, rel. 32, (0 0 4); 2θ 44.14, 2.052 Å, rel. 31, (3 2 1); 2θ 28.15, 3.170 Å, rel. 28, (2 1 1); 2θ 48.34, 1.883 Å, rel. 23, (4 0 0)

Atomic structure:
```
data_UCuRhS4
_chemical_formula_sum 'U4 Cu4 Rh4 S16'
_symmetry_space_group_name_H-M 'I m m a'
_symmetry_Int_Tables_number 74
_symmetry_space_group_name_Hall '-I 2b 2'
_cell_length_a 7.5319
_cell_length_b 7.7564
_cell_length_c 8.9938
_cell_angle_alpha 90.00
_cell_angle_beta 90.00
_cell_angle_gamma 90.00
loop_
_atom_site_label
_atom_site_type_symbol
_atom_site_fract_x
_atom_site_fract_y
_atom_site_fract_z
U1 U 0.0000 0.0000 0.0000
Cu1 Cu 0.0000 0.2500 0.3287
Rh1 Rh 0.2500 0.2500 0.7500
S1 S 0.0000 0.0480 0.7154
S2 S 0.2380 0.2500 0.0255
```